Record 1
The following is a computed powder X-ray diffraction pattern of Cu33Ag7. It was derived from a PBE-relaxed structure, using Cu Ka.

Structural model:
Unit cell a=5.8561 b=9.0921 c=10.1788 alpha=98.51 beta=96.69 gamma=104.97
Space group P1 (No. 1)
Asymmetric unit:
Cu (0.0000, 0.0000, 0.0000) [1 per cell]
Cu (0.0002, 0.1151, 0.2406) [1 per cell]
Cu (0.0006, 0.7512, 0.4810) [1 per cell]
Cu (0.0013, 0.8783, 0.7294) [1 per cell]
Cu (0.0039, 0.2401, 0.4852) [1 per cell]
Cu (0.0129, 0.6302, 0.2431) [1 per cell]
Cu (0.0150, 0.4993, 0.0000) [1 per cell]
Cu (0.1879, 0.2709, 0.9431) [1 per cell]
Cu (0.1946, 0.7748, 0.9533) [1 per cell]
Cu (0.1992, 0.0204, 0.4355) [1 per cell]
Cu (0.2017, 0.8983, 0.1952) [1 per cell]
Cu (0.2033, 0.1420, 0.6768) [1 per cell]
Cu (0.2038, 0.3970, 0.1904) [1 per cell]
Cu (0.2125, 0.5235, 0.4340) [1 per cell]
Cu (0.3876, 0.1665, 0.1459) [1 per cell]
Cu (0.3880, 0.5503, 0.8950) [1 per cell]
Cu (0.3893, 0.2944, 0.3870) [1 per cell]
Cu (0.4013, 0.6802, 0.1446) [1 per cell]
Cu (0.4027, 0.7983, 0.3898) [1 per cell]
Cu (0.4044, 0.4161, 0.6281) [1 per cell]
Cu (0.4089, 0.9303, 0.6280) [1 per cell]
Cu (0.5841, 0.3159, 0.8288) [1 per cell]
Cu (0.5947, 0.0660, 0.3428) [1 per cell]
Cu (0.5957, 0.1955, 0.5800) [1 per cell]
Cu (0.5999, 0.5788, 0.3389) [1 per cell]
Cu (0.6008, 0.9524, 0.1027) [1 per cell]
Cu (0.6135, 0.7023, 0.5791) [1 per cell]
Cu (0.7906, 0.4737, 0.5320) [1 per cell]
Cu (0.7995, 0.8491, 0.2930) [1 per cell]
Cu (0.8035, 0.9746, 0.5365) [1 per cell]
Cu (0.8071, 0.0954, 0.7844) [1 per cell]
Cu (0.8081, 0.2173, 0.0354) [1 per cell]
Cu (0.8085, 0.7325, 0.0546) [1 per cell]
Ag (0.0023, 0.3635, 0.7353) [1 per cell]
Ag (0.2074, 0.6527, 0.6806) [1 per cell]
Ag (0.3900, 0.0523, 0.8909) [1 per cell]
Ag (0.5992, 0.4473, 0.0827) [1 per cell]
Ag (0.6088, 0.8305, 0.8470) [1 per cell]
Ag (0.7943, 0.5953, 0.7949) [1 per cell]
Ag (0.8023, 0.3430, 0.2904) [1 per cell]

Principal peaks in the range 5 to 70 degrees two-theta, in order of rising 2θ:
- 9.934 Å, 8.90°, I = 1, hkl 0 0 1
- 3.595 Å, 24.77°, I = 2, hkl 1 1 -2
- 2.912 Å, 30.70°, I = 2, hkl 1 1 -3
- 2.876 Å, 31.09°, I = 1, hkl 1 -3 1
- 2.716 Å, 32.98°, I = 1, hkl -1 3 1
- 2.665 Å, 33.63°, I = 1, hkl 1 0 3
- 2.365 Å, 38.06°, I = 1, hkl 1 1 -4
- 2.310 Å, 39.00°, I = 1, hkl 0 3 2
- 2.144 Å, 42.15°, I = 99, hkl 1 0 4
- 2.141 Å, 42.21°, I = 100, hkl 2 2 -1
- 1.857 Å, 49.05°, I = 61, hkl 0 4 2
- 1.852 Å, 49.20°, I = 31, hkl 3 -2 1

=====

Record 2
The following is a computed powder X-ray diffraction pattern of PmI3. It was derived from a PBE-relaxed structure, using Cu Ka.

Structural model:
Unit cell a=7.8949 b=13.6664 c=8.0741 alpha=90.00 beta=108.75 gamma=90.00
Space group C2/m (No. 12)
Asymmetric unit:
Pm (0.0000, 0.1665, 0.0000) [4 per cell]
I (0.2163, 0.0000, 0.2380) [4 per cell]
I (0.2427, 0.1799, 0.7640) [8 per cell]

Principal peaks in the range 5 to 70 degrees two-theta, in order of rising 2θ:
- 7.645 Å, 11.57°, I = 30, hkl 0 0 1
- 6.559 Å, 13.50°, I = 15, hkl 1 1 0
- 3.889 Å, 22.87°, I = 11, hkl 2 0 -1
- 3.823 Å, 23.27°, I = 10, hkl 0 0 2
- 3.732 Å, 23.85°, I = 26, hkl 1 3 -1
- 3.251 Å, 27.44°, I = 100, hkl 1 3 1
- 2.523 Å, 35.58°, I = 9, hkl 1 3 2
- 2.325 Å, 38.73°, I = 13, hkl 2 0 2
- 2.317 Å, 38.87°, I = 25, hkl 1 3 -3
- 2.278 Å, 39.55°, I = 35, hkl 0 6 0
- 1.864 Å, 48.86°, I = 12, hkl 2 6 -2
- 1.444 Å, 64.53°, I = 9, hkl 1 9 1

=====

Record 3
The following is a computed powder X-ray diffraction pattern of Er11Ge10. It was derived from a PBE-relaxed structure, using Cu Ka.

Structural model:
Unit cell a=10.8274 b=10.8274 c=16.2426 alpha=90.00 beta=90.00 gamma=90.00
Space group I4/mmm (No. 139)
Asymmetric unit:
Er (0.0000, 0.0000, 0.1607) [4 per cell]
Er (0.0000, 0.2519, 0.3102) [16 per cell]
Er (0.0000, 0.3249, 0.1024) [16 per cell]
Er (0.1771, 0.1771, 0.5000) [8 per cell]
Ge (0.0000, 0.0000, 0.3876) [4 per cell]
Ge (0.0000, 0.3596, 0.5000) [8 per cell]
Ge (0.0000, 0.5000, 0.2500) [4 per cell]
Ge (0.1209, 0.1209, 0.0000) [8 per cell]
Ge (0.2090, 0.2090, 0.1809) [16 per cell]

Principal peaks in the range 5 to 70 degrees two-theta, in order of rising 2θ:
- 3.523 Å, 25.28°, I = 23, hkl 3 0 1
- 2.707 Å, 33.09°, I = 53, hkl 4 0 0
- 2.698 Å, 33.21°, I = 100, hkl 2 1 5
- 2.626 Å, 34.14°, I = 94, hkl 3 2 3
- 2.618 Å, 34.26°, I = 40, hkl 3 1 4
- 2.568 Å, 34.94°, I = 43, hkl 4 0 2
- 2.552 Å, 35.16°, I = 75, hkl 3 3 0
- 2.415 Å, 37.24°, I = 42, hkl 3 0 5
- 1.803 Å, 50.62°, I = 33, hkl 6 0 0
- 1.710 Å, 53.60°, I = 24, hkl 5 2 5
- 1.691 Å, 54.26°, I = 23, hkl 6 1 3
- 1.624 Å, 56.67°, I = 21, hkl 0 0 10

=====

Record 4
The following is a computed powder X-ray diffraction pattern of ThB4Ir4. It was derived from a PBE-relaxed structure, using Cu Ka.

Structural model:
Unit cell a=5.4446 b=5.4446 c=7.5906 alpha=90.00 beta=90.00 gamma=90.00
Space group P4_2/nmc (No. 137, origin choice 2)
Asymmetric unit:
Th (0.2500, 0.7500, 0.2500) [2 per cell]
B (0.0795, 0.2500, 0.0939) [8 per cell]
Ir (0.0021, 0.2500, 0.3931) [8 per cell]

Principal peaks in the range 5 to 70 degrees two-theta, in order of rising 2θ:
- 3.850 Å, 23.10°, I = 16, hkl 1 1 0
- 3.114 Å, 28.67°, I = 61, hkl 1 0 2
- 2.703 Å, 33.15°, I = 19, hkl 1 1 2
- 2.563 Å, 35.02°, I = 97, hkl 2 0 1
- 2.319 Å, 38.84°, I = 100, hkl 2 1 1
- 2.295 Å, 39.26°, I = 71, hkl 1 0 3
- 2.049 Å, 44.19°, I = 41, hkl 2 1 2
- 1.925 Å, 47.22°, I = 20, hkl 2 2 0
- 1.481 Å, 62.73°, I = 23, hkl 3 2 1
- 1.475 Å, 63.03°, I = 20, hkl 3 0 3
- 1.361 Å, 68.99°, I = 21, hkl 4 0 0
- 1.351 Å, 69.56°, I = 35, hkl 2 2 4

=====

Record 5
The following is a computed powder X-ray diffraction pattern of Tm3Ge13Pt4. It was derived from a PBE-relaxed structure, using Cu Ka.

Structural model:
Unit cell a=12.8146 b=12.7814 c=9.1128 alpha=90.00 beta=90.35 gamma=90.00
Space group Cc (No. 9)
Asymmetric unit:
Tm (0.0000, 0.0001, 0.0000) [4 per cell]
Tm (0.1232, 0.3786, 0.2438) [4 per cell]
Tm (0.3761, 0.1262, 0.2438) [4 per cell]
Ge (0.0776, 0.4252, 0.9107) [4 per cell]
Ge (0.1168, 0.3804, 0.6357) [4 per cell]
Ge (0.1622, 0.1658, 0.3883) [4 per cell]
Ge (0.1654, 0.1672, 0.0962) [4 per cell]
Ge (0.1813, 0.0712, 0.7442) [4 per cell]
Ge (0.2496, 0.2560, 0.7465) [4 per cell]
Ge (0.3021, 0.3064, 0.0089) [4 per cell]
Ge (0.3061, 0.3042, 0.4709) [4 per cell]
Ge (0.3428, 0.4853, 0.2498) [4 per cell]
Ge (0.4073, 0.0884, 0.6087) [4 per cell]
Ge (0.4217, 0.0764, 0.9090) [4 per cell]
Ge (0.4435, 0.3291, 0.7446) [4 per cell]
Ge (0.4947, 0.3428, 0.2460) [4 per cell]
Pt (0.2437, 0.0007, 0.4930) [4 per cell]
Pt (0.2502, 0.4987, 0.5004) [4 per cell]
Pt (0.4970, 0.2486, 0.9973) [4 per cell]
Pt (0.4986, 0.2497, 0.4951) [4 per cell]

Principal peaks in the range 5 to 70 degrees two-theta, in order of rising 2θ:
- 4.525 Å, 19.62°, I = 37, hkl 2 2 0
- 3.202 Å, 27.87°, I = 29, hkl 4 0 0
- 2.628 Å, 34.11°, I = 29, hkl 4 0 -2
- 2.615 Å, 34.29°, I = 100, hkl 4 0 2
- 2.524 Å, 35.57°, I = 43, hkl 2 2 -3
- 2.514 Å, 35.72°, I = 62, hkl 5 1 0
- 2.507 Å, 35.82°, I = 22, hkl 1 5 0
- 2.278 Å, 39.56°, I = 31, hkl 0 0 4
- 2.262 Å, 39.85°, I = 60, hkl 4 4 0
- 2.024 Å, 44.79°, I = 28, hkl 6 2 0
- 1.855 Å, 49.11°, I = 26, hkl 6 2 -2
- 1.847 Å, 49.35°, I = 30, hkl 2 6 2

=====

Record 6
The following is a computed powder X-ray diffraction pattern of Li2Fe3Sb2. It was derived from a PBE-relaxed structure, using Cu Ka.

Structural model:
Unit cell a=4.2460 b=4.2460 c=19.9523 alpha=90.00 beta=90.00 gamma=120.00
Space group R3m (No. 160, hexagonal axes)
Asymmetric unit:
Li (0.0000, 0.0000, 0.0000) [3 per cell]
Li (0.0000, 0.0000, 0.4690) [3 per cell]
Fe (0.0000, 0.0000, 0.1342) [3 per cell]
Fe (0.0000, 0.0000, 0.6030) [3 per cell]
Fe (0.0000, 0.0000, 0.8637) [3 per cell]
Sb (0.0000, 0.0000, 0.2598) [3 per cell]
Sb (0.0000, 0.0000, 0.7326) [3 per cell]

Principal peaks in the range 5 to 70 degrees two-theta, in order of rising 2θ:
- 6.651 Å, 13.31°, I = 10, hkl 0 0 3
- 3.450 Å, 25.82°, I = 100, hkl 0 1 2
- 3.325 Å, 26.81°, I = 22, hkl 0 0 6
- 2.253 Å, 40.02°, I = 38, hkl 1 0 7
- 2.123 Å, 42.58°, I = 85, hkl 1 1 0
- 2.064 Å, 43.86°, I = 47, hkl 0 1 8
- 1.808 Å, 50.47°, I = 16, hkl 2 0 2
- 1.789 Å, 51.04°, I = 22, hkl 1 1 6
- 1.545 Å, 59.86°, I = 11, hkl 0 2 7
- 1.533 Å, 60.37°, I = 12, hkl 1 1 9
- 1.480 Å, 62.79°, I = 15, hkl 2 0 8
- 1.377 Å, 68.12°, I = 12, hkl 1 2 2

=====

Record 7
The following is a computed powder X-ray diffraction pattern of Cs2ErNbSe4. It was derived from a PBE-relaxed structure, using Cu Ka.

Structural model:
Unit cell a=4.1446 b=4.1446 c=16.3352 alpha=90.00 beta=90.00 gamma=120.00
Space group P-3m1 (No. 164)
Asymmetric unit:
Cs (0.3333, 0.6667, 0.2573) [2 per cell]
Er (0.0000, 0.0000, 0.0000) [1 per cell]
Nb (0.0000, 0.0000, 0.5000) [1 per cell]
Se (0.3333, 0.6667, 0.5823) [2 per cell]
Se (0.3333, 0.6667, 0.9039) [2 per cell]

Principal peaks in the range 5 to 70 degrees two-theta, in order of rising 2θ:
- 8.168 Å, 10.83°, I = 14, hkl 0 0 2
- 4.084 Å, 21.76°, I = 15, hkl 0 0 4
- 3.286 Å, 27.14°, I = 53, hkl 1 0 2
- 2.997 Å, 29.81°, I = 100, hkl 1 0 3
- 2.696 Å, 33.23°, I = 17, hkl 0 1 4
- 2.169 Å, 41.64°, I = 46, hkl 0 1 6
- 2.072 Å, 43.68°, I = 49, hkl 1 1 0
- 1.848 Å, 49.31°, I = 10, hkl 1 1 4
- 1.753 Å, 52.18°, I = 9, hkl 0 2 2
- 1.704 Å, 53.78°, I = 19, hkl 0 2 3
- 1.620 Å, 56.84°, I = 13, hkl 0 1 9
- 1.498 Å, 61.93°, I = 14, hkl 2 0 6

=====

Record 8
The following is a computed powder X-ray diffraction pattern of AgW3Se5. It was derived from a PBE-relaxed structure, using Cu Ka.

Structural model:
Unit cell a=5.6280 b=5.6280 c=7.4737 alpha=90.00 beta=90.00 gamma=120.00
Space group P6/mmm (No. 191)
Asymmetric unit:
Ag (0.0000, 0.0000, 0.0000) [1 per cell]
W (0.0000, 0.5000, 0.5000) [3 per cell]
Se (0.0000, 0.0000, 0.5000) [1 per cell]
Se (0.3333, 0.6667, 0.2298) [4 per cell]

Principal peaks in the range 5 to 70 degrees two-theta, in order of rising 2θ:
- 7.474 Å, 11.84°, I = 100, hkl 0 0 1
- 4.083 Å, 21.77°, I = 26, hkl 1 0 1
- 3.737 Å, 23.81°, I = 17, hkl 0 0 2
- 2.814 Å, 31.80°, I = 15, hkl 1 1 0
- 2.634 Å, 34.04°, I = 15, hkl 1 1 1
- 2.437 Å, 36.88°, I = 30, hkl 2 0 0
- 2.317 Å, 38.87°, I = 45, hkl 2 0 1
- 2.041 Å, 44.38°, I = 86, hkl 2 0 2
- 1.868 Å, 48.74°, I = 15, hkl 0 0 4
- 1.742 Å, 52.52°, I = 15, hkl 2 0 3
- 1.482 Å, 62.67°, I = 20, hkl 2 0 4
- 1.407 Å, 66.45°, I = 18, hkl 2 2 0

=====

Record 9
The following is a computed powder X-ray diffraction pattern of Bi2Te2Pd3. It was derived from a PBE-relaxed structure, using Cu Ka.

Structural model:
Unit cell a=5.7514 b=8.4160 c=6.7462 alpha=90.00 beta=90.00 gamma=90.00
Space group Pmmn (No. 59, origin choice 2)
Asymmetric unit:
Bi (0.2500, 0.0462, 0.1219) [4 per cell]
Te (0.2500, 0.2500, 0.6731) [2 per cell]
Te (0.2500, 0.7500, 0.7091) [2 per cell]
Pd (0.0000, 0.0000, 0.5000) [4 per cell]
Pd (0.2500, 0.7500, 0.3058) [2 per cell]

Principal peaks in the range 5 to 70 degrees two-theta, in order of rising 2θ:
- 3.033 Å, 29.45°, I = 89, hkl 1 2 1
- 2.910 Å, 30.73°, I = 75, hkl 1 0 2
- 2.876 Å, 31.10°, I = 44, hkl 2 0 0
- 2.645 Å, 33.89°, I = 35, hkl 2 0 1
- 2.632 Å, 34.06°, I = 54, hkl 0 2 2
- 2.521 Å, 35.61°, I = 36, hkl 1 3 0
- 2.393 Å, 37.58°, I = 22, hkl 1 2 2
- 2.240 Å, 40.27°, I = 100, hkl 2 2 1
- 2.188 Å, 41.25°, I = 28, hkl 2 0 2
- 2.104 Å, 42.99°, I = 32, hkl 0 4 0
- 1.983 Å, 45.75°, I = 56, hkl 0 2 3
- 1.375 Å, 68.21°, I = 23, hkl 2 2 4

=====

Record 10
The following is a computed powder X-ray diffraction pattern of Rb2Cd5As4. It was derived from a PBE-relaxed structure, using Cu Ka.

Structural model:
Unit cell a=12.5394 b=7.6730 c=12.6035 alpha=90.00 beta=90.00 gamma=90.00
Space group Cmcm (No. 63)
Asymmetric unit:
Rb (0.2081, 0.0000, 0.0000) [8 per cell]
Cd (0.0000, 0.0062, 0.2500) [4 per cell]
Cd (0.0000, 0.3499, 0.6057) [8 per cell]
Cd (0.1469, 0.3821, 0.2500) [8 per cell]
As (0.0000, 0.2741, 0.0999) [8 per cell]
As (0.1565, 0.2474, 0.7500) [8 per cell]

Principal peaks in the range 5 to 70 degrees two-theta, in order of rising 2θ:
- 6.285 Å, 14.09°, I = 59, hkl 2 0 0
- 3.171 Å, 28.14°, I = 100, hkl 3 1 2
- 2.904 Å, 30.79°, I = 52, hkl 2 2 2
- 2.835 Å, 31.56°, I = 37, hkl 0 2 3
- 2.812 Å, 31.82°, I = 62, hkl 2 0 4
- 2.506 Å, 35.83°, I = 33, hkl 1 3 0
- 2.384 Å, 37.74°, I = 22, hkl 4 2 1
- 2.151 Å, 42.01°, I = 53, hkl 3 3 1
- 2.090 Å, 43.29°, I = 23, hkl 6 0 0
- 1.923 Å, 47.27°, I = 24, hkl 4 2 4
- 1.901 Å, 47.85°, I = 20, hkl 5 1 4
- 1.792 Å, 50.96°, I = 25, hkl 5 3 0

=====

Record 11
The following is a computed powder X-ray diffraction pattern of Zr4NiPbC2. It was derived from a PBE-relaxed structure, using Cu Ka.

Structural model:
Unit cell a=3.3608 b=3.3608 c=13.9799 alpha=90.00 beta=90.00 gamma=120.00
Space group P-6m2 (No. 187)
Asymmetric unit:
Zr (0.0000, 0.0000, 0.1357) [2 per cell]
Zr (0.6667, 0.3333, 0.3202) [2 per cell]
Ni (0.6667, 0.3333, 0.0000) [1 per cell]
Pb (0.0000, 0.0000, 0.5000) [1 per cell]
C (0.3333, 0.6667, 0.2325) [2 per cell]

Principal peaks in the range 5 to 70 degrees two-theta, in order of rising 2θ:
- 13.980 Å, 6.32°, I = 22, hkl 0 0 1
- 2.910 Å, 30.72°, I = 29, hkl 1 0 0
- 2.796 Å, 32.01°, I = 11, hkl 0 0 5
- 2.687 Å, 33.35°, I = 22, hkl 1 0 2
- 2.469 Å, 36.40°, I = 100, hkl 1 0 3
- 2.330 Å, 38.64°, I = 12, hkl 0 0 6
- 2.016 Å, 44.96°, I = 14, hkl 1 0 5
- 1.819 Å, 50.15°, I = 11, hkl 1 0 6
- 1.680 Å, 54.62°, I = 24, hkl 1 1 0
- 1.498 Å, 61.94°, I = 14, hkl 1 0 8
- 1.389 Å, 67.42°, I = 16, hkl 2 0 3
- 1.363 Å, 68.89°, I = 13, hkl 1 1 6